# MnV2Fe8
Simulated X-ray diffraction stick pattern, Cu Kα. Input: DFT lattice parameters and positions (PBE).
Kinematic intensities with the Lorentz-polarization factor, no thermal factor.

Top 10 peaks for 2θ = 15–90°, by angle:
| 2θ (°) | d [Å] | intensity |
| --- | --- | --- |
| 41.9 | 2.155 | 9 |
| 45.1 | 2.009 | 100 |
| 46.6 | 1.949 | 29 |
| 47.4 | 1.916 | 21 |
| 62.7 | 1.482 | 7 |
| 68.7 | 1.366 | 12 |
| 81.6 | 1.180 | 7 |
| 82.2 | 1.172 | 6 |
| 85.4 | 1.136 | 13 |
| 86.7 | 1.123 | 10 |

Crystal structure
a b c (Å): 6.755 6.755 6.755
angles (deg): 146.46 127.95 63.35
Sites, in units of the cell vectors:
Mn (0.000, 0.000, 0.000)
V (0.320, 0.320, 0.000)
V (0.680, 0.680, 0.000)
Fe (0.110, 0.841, 0.269)
Fe (0.156, 0.656, 0.500)
Fe (0.283, 0.500, 0.783)
Fe (0.427, 0.159, 0.269)
Fe (0.573, 0.841, 0.731)
Fe (0.717, 0.500, 0.217)
Fe (0.844, 0.344, 0.500)
Fe (0.890, 0.159, 0.731)

=====

# MnFe3W2
Simulated X-ray diffraction stick pattern, Cu Kα. Input: DFT lattice parameters and positions (PBE).
Kinematic intensities with the Lorentz-polarization factor, no thermal factor.

Top 10 peaks for 2θ = 15–90°, by angle:
| 2θ (°) | d [Å] | intensity |
| --- | --- | --- |
| 23.1 | 3.858 | 26 |
| 38.1 | 2.362 | 76 |
| 45.0 | 2.014 | 100 |
| 47.1 | 1.929 | 11 |
| 60.4 | 1.533 | 7 |
| 68.8 | 1.364 | 21 |
| 68.9 | 1.363 | 7 |
| 73.7 | 1.286 | 28 |
| 81.4 | 1.182 | 11 |
| 81.5 | 1.180 | 11 |

Crystal structure
a b c (Å): 4.722 4.722 4.722
angles (deg): 60.07 60.07 60.07
Sites, in units of the cell vectors:
Mn (0.000, 0.000, 0.000)
Fe (0.000, 0.000, 0.500)
Fe (0.000, 0.500, 0.000)
Fe (0.500, 0.000, 0.000)
W (0.376, 0.376, 0.376)
W (0.624, 0.624, 0.624)